No. 1
The following is a computed powder diffraction line list of Na2Sr2LiHg4. It was derived from the GGA-PBE geometry in Alexandria, using Cu Kα, 1.54184 Å.

Structure:
abc: 6.9731 6.9731 6.9731
angles: 114.06 114.06 100.64
Sites, in units of the cell vectors:
Na (0.1841, 0.1841, 0.0000)
Na (0.8159, 0.8159, 0.0000)
Sr (0.2500, 0.7500, 0.5000)
Sr (0.7500, 0.2500, 0.5000)
Li (0.5000, 0.5000, 0.0000)
Hg (0.2541, 0.2541, 0.5081)
Hg (0.2541, 0.7459, 0.0000)
Hg (0.7459, 0.2541, 0.0000)
Hg (0.7459, 0.7459, 0.4919)

Peak list (12 most intense, 10 to 90 degrees two-theta, sorted by position)
- 2θ = 19.94°, intensity 25
- 2θ = 23.44°, intensity 31
- 2θ = 30.96°, intensity 100
- 2θ = 33.39°, intensity 43
- 2θ = 39.20°, intensity 19
- 2θ = 40.52°, intensity 12
- 2θ = 47.34°, intensity 12
- 2θ = 47.94°, intensity 16
- 2θ = 53.48°, intensity 21
- 2θ = 58.17°, intensity 34
- 2θ = 64.53°, intensity 12
- 2θ = 87.27°, intensity 10


No. 2
The following is a computed powder diffraction line list of Na2Li5Tl2Hg. It was derived from the GGA-PBE geometry in Alexandria, using Cu Kα, 1.54184 Å.

Structure:
abc: 11.6079 11.6079 3.4356
angles: 90.00 90.00 90.00
Sites, in units of the cell vectors:
Na (0.1695, 0.3305, 0.0000)
Na (0.3305, 0.8305, 0.0000)
Na (0.6695, 0.1695, 0.0000)
Na (0.8305, 0.6695, 0.0000)
Li (0.0000, 0.5000, 0.5000)
Li (0.0567, 0.8151, 0.5000)
Li (0.1849, 0.0567, 0.5000)
Li (0.3151, 0.5567, 0.5000)
Li (0.4433, 0.3151, 0.5000)
Li (0.5000, 0.0000, 0.5000)
Li (0.5567, 0.6849, 0.5000)
Li (0.6849, 0.4433, 0.5000)
Li (0.8151, 0.9433, 0.5000)
Li (0.9433, 0.1849, 0.5000)
Tl (0.1343, 0.6343, 0.0000)
Tl (0.3657, 0.1343, 0.0000)
Tl (0.6343, 0.8657, 0.0000)
Tl (0.8657, 0.3657, 0.0000)
Hg (0.0000, 0.0000, 0.0000)
Hg (0.5000, 0.5000, 0.0000)

Peak list (12 most intense, 10 to 90 degrees two-theta, sorted by position)
- 2θ = 17.08°, intensity 85
- 2θ = 24.25°, intensity 100
- 2θ = 25.93°, intensity 45
- 2θ = 27.71°, intensity 19
- 2θ = 31.22°, intensity 38
- 2θ = 35.80°, intensity 83
- 2θ = 38.31°, intensity 19
- 2θ = 44.13°, intensity 20
- 2θ = 47.94°, intensity 17
- 2θ = 51.90°, intensity 24
- 2θ = 59.40°, intensity 18
- 2θ = 67.19°, intensity 18